1.
Calculated X-ray powder pattern
Compound: KLi4Hg3F12
Radiation: Cu Ka
Structure: a DFT-relaxed cell (PBE, Alexandria)

Most intense lines, 10 to 90 degrees two-theta, most intense first:
- 3.962 Å, rel. 1000
- 2.801 Å, rel. 881
- 2.287 Å, rel. 576
- 1.617 Å, rel. 464
- 1.772 Å, rel. 441
- 5.603 Å, rel. 363

Structural model:
```
data_KLi4Hg3F12
_chemical_formula_sum 'K1 Li4 Hg3 F12'
_symmetry_space_group_name_H-M 'P 1'
_symmetry_Int_Tables_number 1
_cell_length_a 6.862
_cell_length_b 6.862
_cell_length_c 6.862
_cell_angle_alpha 109.47
_cell_angle_beta 109.47
_cell_angle_gamma 109.47
loop_
_symmetry_equiv_pos_as_xyz
'x,y,z'
loop_
_atom_site_label
_atom_site_type_symbol
_atom_site_fract_x
_atom_site_fract_y
_atom_site_fract_z
K1 K 0.000 0.000 0.000
Li1 Li 0.000 0.000 0.500
Li2 Li 0.000 0.500 0.000
Li3 Li 0.500 0.000 0.000
Li4 Li 0.500 0.500 0.500
Hg1 Hg 0.000 0.500 0.500
Hg2 Hg 0.500 0.000 0.500
Hg3 Hg 0.500 0.500 0.000
F1 F 0.104 0.301 0.803
F2 F 0.197 0.498 0.301
F3 F 0.197 0.896 0.699
F4 F 0.301 0.197 0.498
F5 F 0.301 0.803 0.104
F6 F 0.498 0.301 0.197
F7 F 0.502 0.699 0.803
F8 F 0.699 0.197 0.896
F9 F 0.699 0.803 0.502
F10 F 0.803 0.104 0.301
F11 F 0.803 0.502 0.699
F12 F 0.896 0.699 0.197
```

***

2.
Calculated X-ray powder pattern
Compound: Ho8Tc2Ni
Radiation: Cu Ka
Structure: a DFT-relaxed cell (PBE, Alexandria)

Most intense lines, 10 to 90 degrees two-theta, most intense first:
- 2.843 Å, rel. 1000
- 2.696 Å, rel. 811
- 2.735 Å, rel. 762
- 2.860 Å, rel. 717
- 2.299 Å, rel. 688
- 2.725 Å, rel. 676

Structural model:
```
data_Ho8Tc2Ni
_chemical_formula_sum 'Ho8 Tc2 Ni1'
_symmetry_space_group_name_H-M 'P 1'
_symmetry_Int_Tables_number 1
_cell_length_a 7.571
_cell_length_b 7.571
_cell_length_c 5.872
_cell_angle_alpha 101.63
_cell_angle_beta 101.63
_cell_angle_gamma 113.23
loop_
_symmetry_equiv_pos_as_xyz
'x,y,z'
loop_
_atom_site_label
_atom_site_type_symbol
_atom_site_fract_x
_atom_site_fract_y
_atom_site_fract_z
Ho1 Ho 0.000 0.000 0.000
Ho2 Ho 0.032 0.289 0.597
Ho3 Ho 0.168 0.579 0.209
Ho4 Ho 0.289 0.032 0.597
Ho5 Ho 0.454 0.719 0.806
Ho6 Ho 0.579 0.168 0.209
Ho7 Ho 0.719 0.454 0.806
Ho8 Ho 0.725 0.725 0.394
Tc1 Tc 0.054 0.670 0.676
Tc2 Tc 0.670 0.054 0.676
Ni1 Ni 0.357 0.357 0.361
```

***

3.
Calculated X-ray powder pattern
Compound: La2PmTl9
Radiation: Cu Ka
Structure: a DFT-relaxed cell (PBE, Alexandria)

Most intense lines, 10 to 90 degrees two-theta, most intense first:
- 2.810 Å, rel. 1000
- 2.433 Å, rel. 506
- 1.467 Å, rel. 426
- 1.721 Å, rel. 359
- 1.117 Å, rel. 183
- 1.405 Å, rel. 123

Structural model:
```
data_La2PmTl9
_chemical_formula_sum 'La2 Pm1 Tl9'
_symmetry_space_group_name_H-M 'P 1'
_symmetry_Int_Tables_number 1
_cell_length_a 4.868
_cell_length_b 4.868
_cell_length_c 14.592
_cell_angle_alpha 90.00
_cell_angle_beta 90.00
_cell_angle_gamma 90.00
loop_
_symmetry_equiv_pos_as_xyz
'x,y,z'
loop_
_atom_site_label
_atom_site_type_symbol
_atom_site_fract_x
_atom_site_fract_y
_atom_site_fract_z
La1 La 0.000 0.000 0.169
La2 La 0.000 0.000 0.831
Pm1 Pm 0.000 0.000 0.500
Tl1 Tl 0.000 0.500 0.000
Tl2 Tl 0.000 0.500 0.336
Tl3 Tl 0.000 0.500 0.664
Tl4 Tl 0.500 0.000 0.000
Tl5 Tl 0.500 0.000 0.336
Tl6 Tl 0.500 0.000 0.664
Tl7 Tl 0.500 0.500 0.167
Tl8 Tl 0.500 0.500 0.500
Tl9 Tl 0.500 0.500 0.833
```

***

4.
Calculated X-ray powder pattern
Compound: Sc4Zn5
Radiation: Cu Ka
Structure: a DFT-relaxed cell (PBE, Alexandria)

Most intense lines, 10 to 90 degrees two-theta, most intense first:
- 2.431 Å, rel. 1000
- 2.058 Å, rel. 289
- 1.506 Å, rel. 198
- 2.211 Å, rel. 194
- 1.249 Å, rel. 183
- 1.315 Å, rel. 125

Structural model:
```
data_Sc4Zn5
_chemical_formula_sum 'Sc4 Zn5'
_symmetry_space_group_name_H-M 'P 1'
_symmetry_Int_Tables_number 1
_cell_length_a 6.558
_cell_length_b 6.558
_cell_length_c 6.558
_cell_angle_alpha 96.53
_cell_angle_beta 96.53
_cell_angle_gamma 140.59
loop_
_symmetry_equiv_pos_as_xyz
'x,y,z'
loop_
_atom_site_label
_atom_site_type_symbol
_atom_site_fract_x
_atom_site_fract_y
_atom_site_fract_z
Sc1 Sc 0.000 0.314 0.314
Sc2 Sc 0.000 0.686 0.686
Sc3 Sc 0.314 0.000 0.314
Sc4 Sc 0.686 0.000 0.686
Zn1 Zn 0.000 0.000 0.000
Zn2 Zn 0.341 0.341 0.682
Zn3 Zn 0.341 0.659 0.000
Zn4 Zn 0.659 0.341 0.000
Zn5 Zn 0.659 0.659 0.318
```

***

5.
Calculated X-ray powder pattern
Compound: CeEr4Ir4
Radiation: Cu Ka
Structure: a DFT-relaxed cell (PBE, Alexandria)

Most intense lines, 10 to 90 degrees two-theta, most intense first:
- 2.767 Å, rel. 1000
- 2.706 Å, rel. 473
- 2.301 Å, rel. 317
- 1.846 Å, rel. 305
- 1.956 Å, rel. 294
- 2.037 Å, rel. 242

Structural model:
```
data_CeEr4Ir4
_chemical_formula_sum 'Ce2 Er8 Ir8'
_symmetry_space_group_name_H-M 'P 1'
_symmetry_Int_Tables_number 1
_cell_length_a 8.749
_cell_length_b 8.749
_cell_length_c 5.690
_cell_angle_alpha 90.00
_cell_angle_beta 90.00
_cell_angle_gamma 90.00
loop_
_symmetry_equiv_pos_as_xyz
'x,y,z'
loop_
_atom_site_label
_atom_site_type_symbol
_atom_site_fract_x
_atom_site_fract_y
_atom_site_fract_z
Ce1 Ce 0.250 0.250 0.250
Ce2 Ce 0.750 0.750 0.750
Er1 Er 0.076 0.660 0.150
Er2 Er 0.160 0.924 0.650
Er3 Er 0.340 0.576 0.650
Er4 Er 0.424 0.840 0.150
Er5 Er 0.576 0.160 0.850
Er6 Er 0.660 0.424 0.350
Er7 Er 0.840 0.076 0.350
Er8 Er 0.924 0.340 0.850
Ir1 Ir 0.023 0.623 0.651
Ir2 Ir 0.123 0.977 0.151
Ir3 Ir 0.377 0.523 0.151
Ir4 Ir 0.477 0.877 0.651
Ir5 Ir 0.523 0.123 0.349
Ir6 Ir 0.623 0.477 0.849
Ir7 Ir 0.877 0.023 0.849
Ir8 Ir 0.977 0.377 0.349
```

***

6.
Calculated X-ray powder pattern
Compound: Ag2SCl
Radiation: Cu Ka
Structure: a DFT-relaxed cell (PBE, Alexandria)

Most intense lines, 10 to 90 degrees two-theta, most intense first:
- 3.380 Å, rel. 1000
- 3.119 Å, rel. 704
- 1.973 Å, rel. 446
- 2.432 Å, rel. 356
- 3.499 Å, rel. 313
- 2.822 Å, rel. 298

Structural model:
```
data_Ag2SCl
_chemical_formula_sum 'Ag8 S4 Cl4'
_symmetry_space_group_name_H-M 'P 1'
_symmetry_Int_Tables_number 1
_cell_length_a 8.040
_cell_length_b 5.105
_cell_length_c 9.794
_cell_angle_alpha 90.00
_cell_angle_beta 101.11
_cell_angle_gamma 90.00
loop_
_symmetry_equiv_pos_as_xyz
'x,y,z'
loop_
_atom_site_label
_atom_site_type_symbol
_atom_site_fract_x
_atom_site_fract_y
_atom_site_fract_z
Ag1 Ag 0.114 0.145 0.252
Ag2 Ag 0.114 0.355 0.752
Ag3 Ag 0.332 0.728 0.598
Ag4 Ag 0.332 0.772 0.098
Ag5 Ag 0.668 0.228 0.902
Ag6 Ag 0.668 0.272 0.402
Ag7 Ag 0.886 0.645 0.248
Ag8 Ag 0.886 0.855 0.748
S1 S 0.068 0.636 0.948
S2 S 0.068 0.864 0.448
S3 S 0.932 0.136 0.552
S4 S 0.932 0.364 0.052
Cl1 Cl 0.376 0.042 0.826
Cl2 Cl 0.376 0.458 0.326
Cl3 Cl 0.624 0.542 0.674
Cl4 Cl 0.624 0.958 0.174
```

***

7.
Calculated X-ray powder pattern
Compound: Pm3HoSb3
Radiation: Cu Ka
Structure: a DFT-relaxed cell (PBE, Alexandria)

Most intense lines, 10 to 90 degrees two-theta, most intense first:
- 2.964 Å, rel. 1000
- 2.505 Å, rel. 664
- 1.521 Å, rel. 249
- 1.838 Å, rel. 236
- 1.913 Å, rel. 174
- 1.276 Å, rel. 149

Structural model:
```
data_Pm3HoSb3
_chemical_formula_sum 'Pm12 Ho4 Sb12'
_symmetry_space_group_name_H-M 'P 1'
_symmetry_Int_Tables_number 1
_cell_length_a 9.374
_cell_length_b 9.374
_cell_length_c 9.374
_cell_angle_alpha 90.00
_cell_angle_beta 90.00
_cell_angle_gamma 90.00
loop_
_symmetry_equiv_pos_as_xyz
'x,y,z'
loop_
_atom_site_label
_atom_site_type_symbol
_atom_site_fract_x
_atom_site_fract_y
_atom_site_fract_z
Pm1 Pm 0.068 0.432 0.568
Pm2 Pm 0.177 0.823 0.323
Pm3 Pm 0.179 0.179 0.179
Pm4 Pm 0.321 0.821 0.679
Pm5 Pm 0.323 0.177 0.823
Pm6 Pm 0.432 0.568 0.068
Pm7 Pm 0.568 0.068 0.432
Pm8 Pm 0.677 0.677 0.677
Pm9 Pm 0.679 0.321 0.821
Pm10 Pm 0.821 0.679 0.321
Pm11 Pm 0.823 0.323 0.177
Pm12 Pm 0.932 0.932 0.932
Ho1 Ho 0.072 0.572 0.928
Ho2 Ho 0.428 0.428 0.428
Ho3 Ho 0.572 0.928 0.072
Ho4 Ho 0.928 0.072 0.572
Sb1 Sb 0.002 0.255 0.872
Sb2 Sb 0.128 0.502 0.245
Sb3 Sb 0.245 0.128 0.502
Sb4 Sb 0.255 0.872 0.002
Sb5 Sb 0.372 0.498 0.745
Sb6 Sb 0.498 0.745 0.372
Sb7 Sb 0.502 0.245 0.128
Sb8 Sb 0.628 0.998 0.755
Sb9 Sb 0.745 0.372 0.498
Sb10 Sb 0.755 0.628 0.998
Sb11 Sb 0.872 0.002 0.255
Sb12 Sb 0.998 0.755 0.628
```

***

8.
Calculated X-ray powder pattern
Compound: InSeClO3
Radiation: Cu Ka
Structure: a DFT-relaxed cell (PBE, Alexandria)

Most intense lines, 10 to 90 degrees two-theta, most intense first:
- 8.607 Å, rel. 1000
- 3.010 Å, rel. 720
- 2.575 Å, rel. 667
- 3.660 Å, rel. 609
- 4.303 Å, rel. 444
- 5.576 Å, rel. 386

Structural model:
```
data_InSeClO3
_chemical_formula_sum 'In8 Se8 Cl8 O24'
_symmetry_space_group_name_H-M 'P 1'
_symmetry_Int_Tables_number 1
_cell_length_a 7.152
_cell_length_b 17.213
_cell_length_c 7.320
_cell_angle_alpha 90.00
_cell_angle_beta 90.00
_cell_angle_gamma 90.00
loop_
_symmetry_equiv_pos_as_xyz
'x,y,z'
loop_
_atom_site_label
_atom_site_type_symbol
_atom_site_fract_x
_atom_site_fract_y
_atom_site_fract_z
In1 In 0.035 0.158 0.250
In2 In 0.035 0.342 0.750
In3 In 0.465 0.658 0.250
In4 In 0.465 0.842 0.750
In5 In 0.535 0.158 0.250
In6 In 0.535 0.342 0.750
In7 In 0.965 0.658 0.250
In8 In 0.965 0.842 0.750
Se1 Se 0.215 0.663 0.676
Se2 Se 0.215 0.837 0.176
Se3 Se 0.285 0.163 0.676
Se4 Se 0.285 0.337 0.176
Se5 Se 0.715 0.663 0.824
Se6 Se 0.715 0.837 0.324
Se7 Se 0.785 0.163 0.824
Se8 Se 0.785 0.337 0.324
Cl1 Cl 0.215 0.554 0.195
Cl2 Cl 0.215 0.946 0.695
Cl3 Cl 0.285 0.054 0.195
Cl4 Cl 0.285 0.446 0.695
Cl5 Cl 0.715 0.554 0.305
Cl6 Cl 0.715 0.946 0.805
Cl7 Cl 0.785 0.054 0.305
Cl8 Cl 0.785 0.446 0.805
O1 O 0.020 0.657 0.542
O2 O 0.020 0.843 0.042
O3 O 0.090 0.157 0.541
O4 O 0.090 0.343 0.041
O5 O 0.214 0.732 0.215
O6 O 0.214 0.768 0.715
O7 O 0.286 0.232 0.215
O8 O 0.286 0.268 0.715
O9 O 0.410 0.657 0.541
O10 O 0.410 0.843 0.041
O11 O 0.480 0.157 0.542
O12 O 0.480 0.343 0.042
O13 O 0.520 0.657 0.958
O14 O 0.520 0.843 0.458
O15 O 0.590 0.157 0.959
O16 O 0.590 0.343 0.459
O17 O 0.714 0.732 0.285
O18 O 0.714 0.768 0.785
O19 O 0.786 0.232 0.285
O20 O 0.786 0.268 0.785
O21 O 0.910 0.657 0.959
O22 O 0.910 0.843 0.459
O23 O 0.980 0.157 0.958
O24 O 0.980 0.343 0.458
```

***

9.
Calculated X-ray powder pattern
Compound: KTlHgTe2
Radiation: Cu Ka
Structure: a DFT-relaxed cell (PBE, Alexandria)

Most intense lines, 10 to 90 degrees two-theta, most intense first:
- 7.802 Å, rel. 1000
- 3.549 Å, rel. 464
- 3.267 Å, rel. 425
- 4.249 Å, rel. 339
- 3.195 Å, rel. 336
- 2.402 Å, rel. 320

Structural model:
```
data_KTlHgTe2
_chemical_formula_sum 'K2 Tl2 Hg2 Te4'
_symmetry_space_group_name_H-M 'P 1'
_symmetry_Int_Tables_number 1
_cell_length_a 7.807
_cell_length_b 6.095
_cell_length_c 8.735
_cell_angle_alpha 90.00
_cell_angle_beta 92.09
_cell_angle_gamma 90.00
loop_
_symmetry_equiv_pos_as_xyz
'x,y,z'
loop_
_atom_site_label
_atom_site_type_symbol
_atom_site_fract_x
_atom_site_fract_y
_atom_site_fract_z
K1 K 0.000 0.227 0.250
K2 K 0.000 0.773 0.750
Tl1 Tl 0.500 0.430 0.250
Tl2 Tl 0.500 0.570 0.750
Hg1 Hg 0.500 0.000 0.000
Hg2 Hg 0.500 0.000 0.500
Te1 Te 0.231 0.238 0.900
Te2 Te 0.231 0.762 0.400
Te3 Te 0.769 0.238 0.600
Te4 Te 0.769 0.762 0.100
```

***

10.
Calculated X-ray powder pattern
Compound: CaPrDy2In4
Radiation: Cu Ka
Structure: a DFT-relaxed cell (PBE, Alexandria)

Most intense lines, 10 to 90 degrees two-theta, most intense first:
- 2.707 Å, rel. 1000
- 2.693 Å, rel. 989
- 1.557 Å, rel. 364
- 1.909 Å, rel. 356
- 1.566 Å, rel. 183
- 1.555 Å, rel. 181

Structural model:
```
data_CaPrDy2In4
_chemical_formula_sum 'Ca1 Pr1 Dy2 In4'
_symmetry_space_group_name_H-M 'P 1'
_symmetry_Int_Tables_number 1
_cell_length_a 9.395
_cell_length_b 9.395
_cell_length_c 9.395
_cell_angle_alpha 33.31
_cell_angle_beta 33.31
_cell_angle_gamma 33.31
loop_
_symmetry_equiv_pos_as_xyz
'x,y,z'
loop_
_atom_site_label
_atom_site_type_symbol
_atom_site_fract_x
_atom_site_fract_y
_atom_site_fract_z
Ca1 Ca 0.000 0.000 0.000
Pr1 Pr 0.500 0.500 0.500
Dy1 Dy 0.252 0.252 0.252
Dy2 Dy 0.748 0.748 0.748
In1 In 0.124 0.124 0.124
In2 In 0.374 0.374 0.374
In3 In 0.626 0.626 0.626
In4 In 0.876 0.876 0.876
```

***

11.
Calculated X-ray powder pattern
Compound: PmMg2H6
Radiation: Cu Ka
Structure: a DFT-relaxed cell (PBE, Alexandria)

Most intense lines, 10 to 90 degrees two-theta, most intense first:
- 4.464 Å, rel. 1000
- 2.734 Å, rel. 791
- 2.331 Å, rel. 571
- 1.578 Å, rel. 299
- 1.774 Å, rel. 253
- 3.866 Å, rel. 243

Structural model:
```
data_PmMg2H6
_chemical_formula_sum 'Pm1 Mg2 H6'
_symmetry_space_group_name_H-M 'P 1'
_symmetry_Int_Tables_number 1
_cell_length_a 5.467
_cell_length_b 5.467
_cell_length_c 5.467
_cell_angle_alpha 60.00
_cell_angle_beta 60.00
_cell_angle_gamma 60.00
loop_
_symmetry_equiv_pos_as_xyz
'x,y,z'
loop_
_atom_site_label
_atom_site_type_symbol
_atom_site_fract_x
_atom_site_fract_y
_atom_site_fract_z
Pm1 Pm 0.000 0.000 0.000
Mg1 Mg 0.250 0.250 0.250
Mg2 Mg 0.750 0.750 0.750
H1 H 0.279 0.279 0.721
H2 H 0.279 0.721 0.279
H3 H 0.279 0.721 0.721
H4 H 0.721 0.279 0.279
H5 H 0.721 0.279 0.721
H6 H 0.721 0.721 0.279
```

***

12.
Calculated X-ray powder pattern
Compound: La6ErSc2
Radiation: Cu Ka
Structure: a DFT-relaxed cell (PBE, Alexandria)

Most intense lines, 10 to 90 degrees two-theta, most intense first:
- 2.925 Å, rel. 1000
- 3.048 Å, rel. 449
- 2.715 Å, rel. 346
- 2.323 Å, rel. 236
- 2.393 Å, rel. 217
- 2.183 Å, rel. 198

Structural model:
```
data_La6ErSc2
_chemical_formula_sum 'La6 Er1 Sc2'
_symmetry_space_group_name_H-M 'P 1'
_symmetry_Int_Tables_number 1
_cell_length_a 9.938
_cell_length_b 9.938
_cell_length_c 3.619
_cell_angle_alpha 90.00
_cell_angle_beta 90.00
_cell_angle_gamma 124.29
loop_
_symmetry_equiv_pos_as_xyz
'x,y,z'
loop_
_atom_site_label
_atom_site_type_symbol
_atom_site_fract_x
_atom_site_fract_y
_atom_site_fract_z
La1 La 0.005 0.342 0.000
La2 La 0.176 0.176 0.500
La3 La 0.342 0.005 0.000
La4 La 0.658 0.995 0.000
La5 La 0.824 0.824 0.500
La6 La 0.995 0.658 0.000
Er1 Er 0.500 0.500 0.000
Sc1 Sc 0.330 0.670 0.500
Sc2 Sc 0.670 0.330 0.500
```

***

Copy entry 1 word for word.
Calculated X-ray powder pattern
Compound: KLi4Hg3F12
Radiation: Cu Ka
Structure: a DFT-relaxed cell (PBE, Alexandria)

Most intense lines, 10 to 90 degrees two-theta, most intense first:
- 3.962 Å, rel. 1000
- 2.801 Å, rel. 881
- 2.287 Å, rel. 576
- 1.617 Å, rel. 464
- 1.772 Å, rel. 441
- 5.603 Å, rel. 363

Structural model:
```
data_KLi4Hg3F12
_chemical_formula_sum 'K1 Li4 Hg3 F12'
_symmetry_space_group_name_H-M 'P 1'
_symmetry_Int_Tables_number 1
_cell_length_a 6.862
_cell_length_b 6.862
_cell_length_c 6.862
_cell_angle_alpha 109.47
_cell_angle_beta 109.47
_cell_angle_gamma 109.47
loop_
_symmetry_equiv_pos_as_xyz
'x,y,z'
loop_
_atom_site_label
_atom_site_type_symbol
_atom_site_fract_x
_atom_site_fract_y
_atom_site_fract_z
K1 K 0.000 0.000 0.000
Li1 Li 0.000 0.000 0.500
Li2 Li 0.000 0.500 0.000
Li3 Li 0.500 0.000 0.000
Li4 Li 0.500 0.500 0.500
Hg1 Hg 0.000 0.500 0.500
Hg2 Hg 0.500 0.000 0.500
Hg3 Hg 0.500 0.500 0.000
F1 F 0.104 0.301 0.803
F2 F 0.197 0.498 0.301
F3 F 0.197 0.896 0.699
F4 F 0.301 0.197 0.498
F5 F 0.301 0.803 0.104
F6 F 0.498 0.301 0.197
F7 F 0.502 0.699 0.803
F8 F 0.699 0.197 0.896
F9 F 0.699 0.803 0.502
F10 F 0.803 0.104 0.301
F11 F 0.803 0.502 0.699
F12 F 0.896 0.699 0.197
```